Starting from a DFT-relaxed cell (PBE, Alexandria), the X-ray diffraction stick pattern of NdIn2Ni6 was simulated for a wavelength of 1.5418 Å.
No peak broadening, texture or thermal motion is included.

```
NdIn2Ni6
1.0
-1.8488 3.2211 6.1739
1.8488 -3.2211 6.1739
1.8488 3.2211 -6.1739
Nd In Ni
1 2 6
Direct
0.0000 0.0000 0.0000 Nd
0.3680 0.8680 0.5000 In
0.6320 0.1320 0.5000 In
0.0116 0.3150 0.6965 Ni
0.3211 0.5000 0.8211 Ni
0.3815 0.6850 0.6965 Ni
0.6185 0.3150 0.3035 Ni
0.6789 0.5000 0.1789 Ni
0.9884 0.6850 0.3035 Ni
```

The 12 most intense peaks (2θ from 10° to 90°), most intense first:
d 2.383, intensity 100; d 2.224, intensity 76; d 2.846, intensity 60; d 1.904, intensity 51; d 2.056, intensity 38; d 1.849, intensity 31; d 1.326, intensity 29; d 3.468, intensity 23; d 2.306, intensity 18; d 1.132, intensity 17; d 1.732, intensity 14; d 1.427, intensity 13